[1]
# MgSn4Sb5
Theoretical powder XRD pattern, Cu Kα (λ = 1.5418 Å). Input: DFT lattice parameters and positions (PBE).

Crystal structure
```
data_MgSn4Sb5
_chemical_formula_sum 'Mg2 Sn8 Sb10'
_cell_length_a 4.5373
_cell_length_b 4.5373
_cell_length_c 43.6798
_cell_angle_alpha 90.00
_cell_angle_beta 90.00
_cell_angle_gamma 120.00
_space_group_name_H-M_alt 'P 3 m 1'
_space_group_IT_number 156
loop_
_space_group_symop_operation_xyz
'x,y,z'
'-y,x-y,z'
'-x+y,-x,z'
'-y,-x,z'
'-x+y,y,z'
'x,x-y,z'
loop_
_atom_site_label
_atom_site_type_symbol
_atom_site_fract_x
_atom_site_fract_y
_atom_site_fract_z
Mg1 Mg 0.0000 0.0000 0.0000
Mg2 Mg 0.0000 0.0000 0.1765
Sn1 Sn 0.0000 0.0000 0.3782
Sn2 Sn 0.0000 0.0000 0.5926
Sn3 Sn 0.0000 0.0000 0.8053
Sn4 Sn 0.3333 0.6667 0.0793
Sn5 Sn 0.3333 0.6667 0.2582
Sn6 Sn 0.3333 0.6667 0.4755
Sn7 Sn 0.3333 0.6667 0.6899
Sn8 Sn 0.3333 0.6667 0.9030
Sb1 Sb 0.0000 0.0000 0.1086
Sb2 Sb 0.0000 0.0000 0.2881
Sb3 Sb 0.0000 0.0000 0.5050
Sb4 Sb 0.0000 0.0000 0.7194
Sb5 Sb 0.0000 0.0000 0.9318
Sb6 Sb 0.3333 0.6667 0.0155
Sb7 Sb 0.3333 0.6667 0.1938
Sb8 Sb 0.3333 0.6667 0.4094
Sb9 Sb 0.3333 0.6667 0.6238
Sb10 Sb 0.3333 0.6667 0.8365
```

Peak list (12 most intense, 2θ from 10° to 90°, sorted by position)
2θ/deg	I (rel.)	hkl
18.28	22	0 0 9
20.33	29	0 0 10
22.63	100	1 0 0
24.85	70	1 0 5
29.24	18	0 1 9
30.60	19	1 0 10
36.78	53	1 0 14
39.73	88	1 1 0
43.85	23	0 1 18
45.03	22	1 1 10
55.25	17	0 2 14
70.18	16	2 1 14

[2]
# RbCdInCl6
Theoretical powder XRD pattern, Cu Kα (λ = 1.5418 Å). Input: DFT lattice parameters and positions (PBE).

Crystal structure
```
data_RbCdInCl6
_chemical_formula_sum 'Rb1 Cd1 In1 Cl6'
_cell_length_a 6.8191
_cell_length_b 6.8191
_cell_length_c 7.2980
_cell_angle_alpha 90.00
_cell_angle_beta 90.00
_cell_angle_gamma 120.00
_space_group_name_H-M_alt 'P 3 1 2'
_space_group_IT_number 149
loop_
_space_group_symop_operation_xyz
'x,y,z'
'-y,x-y,z'
'-x+y,-x,z'
'-y,-x,-z'
'-x+y,y,-z'
'x,x-y,-z'
loop_
_atom_site_label
_atom_site_type_symbol
_atom_site_fract_x
_atom_site_fract_y
_atom_site_fract_z
Rb1 Rb 0.0000 0.0000 0.0000
Cd1 Cd 0.3333 0.6667 0.5000
In1 In 0.6667 0.3333 0.5000
Cl1 Cl 0.3800 0.0118 0.7042
```

Peak list (12 most intense, 2θ from 10° to 90°, sorted by position)
2θ/deg	I (rel.)	hkl
12.13	48	0 0 1
19.33	100	1 0 1
26.14	24	1 1 0
28.90	35	2 -1 1
32.72	20	2 0 1
36.05	78	2 -1 2
42.34	26	3 -1 1
45.82	13	1 1 3
46.11	26	3 0 0
57.68	13	3 1 1
59.88	15	2 2 2
78.75	13	5 -1 2